Record 1
The following is a calculated powder XRD pattern of Tl2GaF4. It was derived from a structure optimized by DFT (PBE), using Cu Ka.
Kinematic intensities with the Lorentz-polarization factor, no thermal factor.

Main lines, most intense first (2θ = 5–70°):
hkl 2 0 0, 29.82 deg, I = 100
hkl 0 2 0, 20.00 deg, I = 59
hkl 2 4 0, 51.22 deg, I = 43
hkl 2 2 0, 36.17 deg, I = 40
hkl 0 2 1, 28.43 deg, I = 40
hkl 4 2 -3, 53.77 deg, I = 20
hkl 2 0 -1, 21.89 deg, I = 17
hkl 1 1 -1, 17.86 deg, I = 14

Atomic structure:
```
data_Tl2GaF4
_chemical_formula_sum 'Tl4 Ga2 F8'
_cell_length_a 8.1213
_cell_length_b 8.8958
_cell_length_c 6.0105
_cell_angle_alpha 90.00
_cell_angle_beta 132.50
_cell_angle_gamma 90.00
_symmetry_space_group_name_H-M 'C 1 m 1'
_symmetry_Int_Tables_number 8
_symmetry_space_group_name_Hall 'C -2y'
loop_
_atom_site_label
_atom_site_fract_x
_atom_site_fract_y
_atom_site_fract_z
Tl1 0.0000 0.2496 0.0000
Ga1 0.4843 0.0000 0.4989
F1 0.0588 0.2912 0.4996
F2 0.2686 0.5000 0.9165
F3 0.3543 0.0000 0.0826
```



Record 2
The following is a calculated powder XRD pattern of Tl3GaF8. It was derived from a structure optimized by DFT (PBE), using Cu Ka.
Kinematic intensities with the Lorentz-polarization factor, no thermal factor.

Main lines, most intense first (2θ = 5–70°):
hkl 1 1 2, 27.21 deg, I = 100
hkl 3 1 2, 51.60 deg, I = 35
hkl 2 0 4, 46.26 deg, I = 34
hkl 2 0 0, 30.02 deg, I = 24
hkl 2 2 0, 42.96 deg, I = 20
hkl 1 1 6, 57.29 deg, I = 13
hkl 2 2 4, 56.13 deg, I = 10
hkl 0 0 4, 34.36 deg, I = 8

Atomic structure:
```
data_Tl3GaF8
_chemical_formula_sum 'Tl6 Ga2 F16'
_cell_length_a 5.9543
_cell_length_b 5.9543
_cell_length_c 10.4411
_cell_angle_alpha 90.00
_cell_angle_beta 90.00
_cell_angle_gamma 90.00
_symmetry_space_group_name_H-M 'I 4/m m m'
_symmetry_Int_Tables_number 139
_symmetry_space_group_name_Hall '-I 4 2'
loop_
_atom_site_label
_atom_site_fract_x
_atom_site_fract_y
_atom_site_fract_z
Tl1 0.0000 0.0000 0.0000
Tl2 0.0000 0.5000 0.2500
Ga1 0.0000 0.0000 0.5000
F1 0.2065 0.2065 0.3795
```



Record 3
The following is a calculated powder XRD pattern of Tl3GaF6. It was derived from a structure optimized by DFT (PBE), using Cu Ka.
Kinematic intensities with the Lorentz-polarization factor, no thermal factor.

Main lines, most intense first (2θ = 5–70°):
hkl 2 2 0, 27.56 deg, I = 100
hkl 4 2 2, 48.74 deg, I = 41
hkl 4 0 0, 39.37 deg, I = 28
hkl 6 2 0, 64.37 deg, I = 21
hkl 4 4 0, 56.90 deg, I = 18
hkl 3 1 1, 32.44 deg, I = 6
hkl 2 2 2, 33.93 deg, I = 5
hkl 1 1 1, 16.78 deg, I = 4

Atomic structure:
```
data_Tl3GaF6
_chemical_formula_sum 'Tl12 Ga4 F24'
_cell_length_a 9.1535
_cell_length_b 9.1535
_cell_length_c 9.1535
_cell_angle_alpha 90.00
_cell_angle_beta 90.00
_cell_angle_gamma 90.00
_symmetry_space_group_name_H-M 'F m -3 m'
_symmetry_Int_Tables_number 225
_symmetry_space_group_name_Hall '-F 4 2 3'
loop_
_atom_site_label
_atom_site_fract_x
_atom_site_fract_y
_atom_site_fract_z
Tl1 0.0000 0.0000 0.0000
Tl2 0.2500 0.2500 0.2500
Ga1 0.0000 0.0000 0.5000
F1 0.0000 0.0000 0.2893
```



Record 4
The following is a calculated powder XRD pattern of TmGaF5. It was derived from a structure optimized by DFT (PBE), using Cu Ka.
Kinematic intensities with the Lorentz-polarization factor, no thermal factor.

Main lines, most intense first (2θ = 5–70°):
hkl 2 0 0, 21.29 deg, I = 100
hkl 1 1 -2, 27.03 deg, I = 95
hkl 0 2 0, 25.14 deg, I = 48
hkl 1 1 0, 16.41 deg, I = 42
hkl 4 0 0, 43.37 deg, I = 25
hkl 1 3 -2, 45.47 deg, I = 24
hkl 1 1 2, 34.32 deg, I = 23
hkl 3 1 -2, 35.01 deg, I = 23

Atomic structure:
```
data_TmGaF5
_chemical_formula_sum 'Tm4 Ga4 F20'
_cell_length_a 9.0661
_cell_length_b 7.0837
_cell_length_c 7.4573
_cell_angle_alpha 90.00
_cell_angle_beta 113.00
_cell_angle_gamma 90.00
_symmetry_space_group_name_H-M 'C 1 2/c 1'
_symmetry_Int_Tables_number 15
_symmetry_space_group_name_Hall '-C 2yc'
loop_
_atom_site_label
_atom_site_fract_x
_atom_site_fract_y
_atom_site_fract_z
Tm1 0.0000 0.0502 0.2500
Ga1 0.0000 0.5000 0.0000
F1 0.0000 0.3729 0.2500
F2 0.0100 0.1717 0.9618
F3 0.2463 0.4632 0.6321
```